[1]
# BaSrCeFeO6
Computed powder XRD pattern, Cu Kα X-rays. Input: DFT lattice parameters and positions (GGA+U).
No peak broadening, texture or thermal motion is included.

Peak list (12 most intense, 2θ = 10–80°, by angle)
- hkl 1 1 1, 2θ 18.34, I 10
- hkl 2 2 0, 2θ 30.17, I 100
- hkl 3 1 1, 2θ 35.54, I 8
- hkl 2 2 2, 2θ 37.17, I 4
- hkl 4 0 0, 2θ 43.19, I 33
- hkl 3 3 1, 2θ 47.29, I 4
- hkl 4 2 2, 2θ 53.59, I 40
- hkl 3 3 3, 2θ 57.12, I 2
- hkl 4 4 0, 2θ 62.73, I 20
- hkl 5 3 1, 2θ 65.96, I 2
- hkl 6 2 0, 2θ 71.17, I 18
- hkl 4 4 4, 2θ 79.21, I 6

Cell and atoms:
a b c (Å): 8.3785 8.3785 8.3785
angles (deg): 90.00 90.00 90.00
Space group F-43m (No. 216)
Symmetry-distinct sites (fractional):
1 Ba 0.0000 0.0000 0.0000 [4 per cell]
2 Sr 0.0000 0.0000 0.5000 [4 per cell]
3 Ce 0.2500 0.2500 0.7500 [4 per cell]
4 Fe 0.2500 0.2500 0.2500 [4 per cell]
5 O 0.0125 0.2500 0.2500 [24 per cell]



[2]
# Mg14CoBiO16
Computed powder XRD pattern, Cu Kα X-rays. Input: DFT lattice parameters and positions (GGA+U).
No peak broadening, texture or thermal motion is included.

Peak list (12 most intense, 2θ = 10–80°, by angle)
- hkl 0 1 0, 2θ 10.17, I 100
- hkl 0 0 2, 2θ 20.40, I 39
- hkl 1 1 0, 2θ 22.72, I 39
- hkl 0 1 2, 2θ 22.83, I 39
- hkl 1 2 0, 2θ 28.91, I 33
- hkl 1 1 2, 2θ 30.72, I 49
- hkl 1 2 2, 2θ 35.64, I 53
- hkl 2 0 0, 2θ 41.20, I 53
- hkl 0 0 4, 2θ 41.43, I 50
- hkl 0 4 0, 2θ 41.55, I 50
- hkl 2 4 0, 2θ 59.90, I 61
- hkl 0 4 4, 2θ 60.12, I 29

Cell and atoms:
a b c (Å): 4.3821 8.6945 8.7186
angles (deg): 90.00 90.00 90.00
Space group Pmmm (No. 47)
Symmetry-distinct sites (fractional):
1 Mg 0.0000 0.0000 0.0000 [1 per cell]
2 Mg 0.0000 0.0000 0.5000 [1 per cell]
3 Mg 0.0000 0.2455 0.2370 [4 per cell]
4 Mg 0.5000 0.0000 0.2454 [2 per cell]
5 Mg 0.5000 0.2359 0.5000 [2 per cell]
6 Mg 0.5000 0.2529 0.0000 [2 per cell]
7 Mg 0.5000 0.5000 0.2290 [2 per cell]
8 Co 0.0000 0.5000 0.0000 [1 per cell]
9 Bi 0.0000 0.5000 0.5000 [1 per cell]
10 O 0.0000 0.0000 0.2501 [2 per cell]
11 O 0.0000 0.2315 0.5000 [2 per cell]
12 O 0.0000 0.2329 0.0000 [2 per cell]
13 O 0.0000 0.5000 0.2396 [2 per cell]
14 O 0.5000 0.0000 0.0000 [1 per cell]
15 O 0.5000 0.0000 0.5000 [1 per cell]
16 O 0.5000 0.2512 0.2515 [4 per cell]
17 O 0.5000 0.5000 0.0000 [1 per cell]
18 O 0.5000 0.5000 0.5000 [1 per cell]



[3]
# Li2MnP2O7
Computed powder XRD pattern, Cu Kα X-rays. Input: DFT lattice parameters and positions (GGA+U).
No peak broadening, texture or thermal motion is included.

Peak list (12 most intense, 2θ = 10–80°, by angle)
- hkl 0 1 1, 2θ 13.92, I 29
- hkl 1 1 0, 2θ 21.56, I 31
- hkl 0 0 4, 2θ 21.80, I 48
- hkl 1 1 -1, 2θ 22.25, I 100
- hkl 0 1 4, 2θ 25.37, I 46
- hkl 0 2 2, 2θ 28.05, I 23
- hkl 0 1 5, 2θ 30.31, I 12
- hkl 1 2 1, 2θ 31.71, I 40
- hkl 2 0 0, 2θ 34.95, I 27
- hkl 1 2 3, 2θ 35.49, I 24
- hkl 1 0 -6, 2θ 37.32, I 23
- hkl 1 2 -4, 2θ 38.29, I 13

Cell and atoms:
a b c (Å): 5.1350 6.9094 16.3049
angles (deg): 90.00 90.58 90.00
Space group P2_1/c (No. 14)
Symmetry-distinct sites (fractional):
1 Li 0.2331 0.2046 0.0072 [4 per cell]
2 Li 0.2569 0.5304 0.2418 [4 per cell]
3 Mn 0.2438 0.5791 0.8689 [4 per cell]
4 P 0.2436 0.0951 0.1656 [4 per cell]
5 P 0.2492 0.7131 0.0728 [4 per cell]
6 O 0.0276 0.6701 0.3128 [4 per cell]
7 O 0.1042 0.6034 0.1394 [4 per cell]
8 O 0.1240 0.6907 0.9876 [4 per cell]
9 O 0.1942 0.5547 0.5882 [4 per cell]
10 O 0.3781 0.5107 0.7370 [4 per cell]
11 O 0.4077 0.2489 0.1230 [4 per cell]
12 O 0.4551 0.1825 0.4241 [4 per cell]



[4]
# Ca4Mn4O11
Computed powder XRD pattern, Cu Kα X-rays. Input: DFT lattice parameters and positions (GGA+U).
No peak broadening, texture or thermal motion is included.

Peak list (12 most intense, 2θ = 10–80°, by angle)
- hkl 1 1 0, 2θ 23.16, I 13
- hkl 0 0 2, 2θ 23.30, I 10
- hkl 2 0 0, 2θ 32.98, I 41
- hkl 1 1 2, 2θ 33.09, I 100
- hkl 2 2 0, 2θ 47.33, I 46
- hkl 0 0 4, 2θ 47.65, I 21
- hkl 3 1 2, 2θ 58.96, I 34
- hkl 2 0 4, 2θ 59.17, I 16
- hkl 4 0 0, 2θ 69.18, I 12
- hkl 2 2 4, 2θ 69.43, I 22
- hkl 3 3 2, 2θ 78.83, I 13
- hkl 1 1 6, 2θ 79.33, I 7

Cell and atoms:
a b c (Å): 5.4318 5.4318 7.6343
angles (deg): 90.00 90.00 90.00
Space group P4/mmm (No. 123)
Symmetry-distinct sites (fractional):
1 Ca 0.0000 0.5000 0.0000 [2 per cell]
2 Ca 0.0000 0.5000 0.5000 [2 per cell]
3 Mn 0.0000 0.0000 0.2428 [2 per cell]
4 Mn 0.5000 0.5000 0.2556 [2 per cell]
5 O 0.0000 0.0000 0.0000 [1 per cell]
6 O 0.0000 0.0000 0.5000 [1 per cell]
7 O 0.2548 0.2548 0.2271 [8 per cell]
8 O 0.5000 0.5000 0.5000 [1 per cell]



Question: What is the formula in the second record?
Answer: Mg14CoBiO16